This entry pairs a crystal structure of Sm2YRh with its computed powder X-ray diffraction pattern. Radiation: CuKα. Structure: a cell relaxed with PBE.

Peak list (12 most intense, 2θ from 10° to 80°, in order of rising 2θ)
2theta, I/Imax
29.83, 30
30.66, 41
30.81, 100
32.22, 52
33.22, 58
33.85, 61
36.00, 40
37.01, 44
39.93, 26
53.24, 22
55.49, 21
58.13, 31

Atomic structure:
```
Sm2YRh
1.0
7.2526 0.0000 0.0000
0.0000 9.8134 0.0000
0.0000 0.0000 6.3195
Sm Y Rh
8 4 4
Cartesian
1.2899 0.6347 1.0718 Sm
1.2899 4.2720 1.0718 Sm
2.3365 5.5414 4.2316 Sm
2.3365 9.1787 4.2316 Sm
4.9162 0.6347 2.0879 Sm
4.9162 4.2720 2.0879 Sm
5.9628 5.5414 5.2477 Sm
5.9628 9.1787 5.2477 Sm
0.2583 2.4533 4.0705 Y
3.3680 7.3600 0.9107 Y
3.8847 2.4533 5.4088 Y
6.9943 7.3600 2.2490 Y
0.8700 7.3600 5.9293 Rh
2.7563 2.4533 2.7695 Rh
4.4963 7.3600 3.5500 Rh
6.3827 2.4533 0.3902 Rh
```


This entry pairs a crystal structure of Nd2Dy6Er with its computed powder X-ray diffraction pattern. Radiation: CuKα. Structure: a cell relaxed with PBE.

Peak list (12 most intense, 2θ from 10° to 80°, in order of rising 2θ)
2theta, I/Imax
28.59, 64
29.15, 35
30.80, 77
31.33, 100
31.41, 60
32.08, 61
33.05, 44
33.66, 46
34.65, 36
59.38, 21
59.95, 24
63.64, 17

Atomic structure:
```
Nd2Dy6Er
1.0
6.4087 -7.1571 0.0000
6.4087 7.1571 0.0000
-1.6314 0.0000 6.3812
Nd Dy Er
4 12 2
Cartesian
1.2393 0.3601 2.3837 Nd
0.4236 -0.3601 5.5743 Nd
10.7624 0.3601 0.8069 Nd
9.9467 -0.3601 3.9975 Nd
1.8875 2.8825 4.6486 Dy
4.3250 4.4665 6.3522 Dy
6.0453 4.4665 3.2196 Dy
4.4246 1.3027 1.1806 Dy
2.7032 -2.8825 1.4580 Dy
3.6089 -1.3027 4.3712 Dy
7.5771 1.3027 2.0100 Dy
8.4828 2.8825 4.9232 Dy
6.7614 -1.3027 5.2006 Dy
5.1407 -4.4665 3.1616 Dy
6.8610 -4.4665 0.0290 Dy
9.2985 -2.8825 1.7326 Dy
5.1851 1.6773 4.7859 Er
6.0008 -1.6773 1.5953 Er
```